Structure and computed XRD peak list of Pr8In2Hg (a DFT-relaxed cell (GGA-PBE, Alexandria); Cu Ka).

Largest 10 diffraction maxima, low angle first, 2θ = 5–70°:
2theta  Rel. int.  h k l
27.96  43  6 0 -1
28.81  62  5 1 0
29.00  40  5 1 -1
30.18  100  1 1 -2
32.26  84  1 1 2
33.07  97  0 2 0
34.20  48  6 0 1
34.68  47  5 1 -2
36.47  29  7 1 -1
64.33  33  0 2 4

Atomic structure:
a b c (Å): 19.553 5.417 7.096
angles (deg): 90.00 104.91 90.00
Space group C2/m (No. 12)
Inequivalent atoms, fractional coordinates:
1 Pr 0.013 0.000 0.265 (multiplicity 4)
2 Pr 0.094 0.500 0.969 (multiplicity 4)
3 Pr 0.158 0.500 0.474 (multiplicity 4)
4 Pr 0.207 0.000 0.801 (multiplicity 4)
5 In 0.181 0.000 0.238 (multiplicity 4)
6 Hg 0.000 0.500 0.500 (multiplicity 2)